Theoretical PXRD pattern
Compound: Ni2SbS3
Radiation: a wavelength of 1.5418 Å
Structure: a cell relaxed with PBE
No peak broadening, texture or thermal motion is included.

Structure:
a b c (Å): 6.6787 6.6787 6.6787
angles (deg): 60.12 60.12 60.12
Sites, in units of the cell vectors:
Ni  0.0000  0.0000  0.0000
Ni  0.0000  0.5000  0.5000
Ni  0.5000  0.0000  0.5000
Ni  0.5000  0.5000  0.0000
Sb  0.2186  0.2186  0.2186
Sb  0.7814  0.7814  0.7814
S  0.2390  0.2390  0.7357
S  0.2390  0.7357  0.2390
S  0.2643  0.7610  0.7610
S  0.7357  0.2390  0.2390
S  0.7610  0.2643  0.7610
S  0.7610  0.7610  0.2643

Principal peaks in the range 10° ≤ 2θ ≤ 80°, sorted by position:
- 16.3 deg, I 295
- 18.8 deg, I 369
- 26.7 deg, I 276
- 31.4 deg, I 819
- 38.1 deg, I 1000
- 41.7 deg, I 323
- 50.1 deg, I 183
- 54.9 deg, I 414

---

Theoretical PXRD pattern
Compound: Y3TcIr
Radiation: a wavelength of 1.5418 Å
Structure: a cell relaxed with PBE
No peak broadening, texture or thermal motion is included.

Structure:
a b c (Å): 5.2938 5.2938 5.2938
angles (deg): 90.00 90.00 90.00
Sites, in units of the cell vectors:
Y  0.0000  0.0000  0.5000
Y  0.0000  0.5000  0.0000
Y  0.5000  0.0000  0.0000
Tc  0.5000  0.5000  0.5000
Ir  0.0000  0.0000  0.0000

Principal peaks in the range 10° ≤ 2θ ≤ 80°, sorted by position:
- 16.7 deg, I 560
- 23.8 deg, I 611
- 29.2 deg, I 219
- 33.9 deg, I 1000
- 38.0 deg, I 296
- 41.8 deg, I 283
- 48.6 deg, I 712
- 60.6 deg, I 243

---

Theoretical PXRD pattern
Compound: Tb3Dy7Sc
Radiation: a wavelength of 1.5418 Å
Structure: a cell relaxed with PBE
No peak broadening, texture or thermal motion is included.

Structure:
a b c (Å): 6.9842 6.9842 8.5246
angles (deg): 90.00 90.00 120.00
Sites, in units of the cell vectors:
Tb  0.0017  0.5009  0.0000
Tb  0.4991  0.5009  0.0000
Tb  0.4991  0.9983  0.0000
Dy  0.1684  0.3367  0.6604
Dy  0.1684  0.8316  0.6604
Dy  0.3357  0.1678  0.3316
Dy  0.6633  0.8316  0.6604
Dy  0.6667  0.3333  0.6606
Dy  0.8322  0.1678  0.3316
Dy  0.8322  0.6643  0.3316
Sc  0.3333  0.6667  0.3355

Principal peaks in the range 10° ≤ 2θ ≤ 80°, sorted by position:
- 18.0 deg, I 99
- 31.4 deg, I 1000
- 36.4 deg, I 506
- 52.4 deg, I 178
- 52.5 deg, I 177
- 62.4 deg, I 314
- 62.5 deg, I 105
- 65.5 deg, I 91

---

Theoretical PXRD pattern
Compound: BaAc2TeO8
Radiation: a wavelength of 1.5418 Å
Structure: a cell relaxed with PBE
No peak broadening, texture or thermal motion is included.

Structure:
a b c (Å): 4.6955 5.8268 7.7300
angles (deg): 85.92 87.61 86.78
Sites, in units of the cell vectors:
Ba  0.0000  0.0000  0.0000
Ac  0.4615  0.4693  0.2441
Ac  0.5385  0.5307  0.7559
Te  0.0000  0.0000  0.5000
O  0.0535  0.7576  0.6868
O  0.0903  0.7787  0.3313
O  0.4048  0.1022  0.5163
O  0.4430  0.2727  0.9959
O  0.5570  0.7273  0.0041
O  0.5952  0.8978  0.4837
O  0.9097  0.2213  0.6687
O  0.9465  0.2424  0.3132

Principal peaks in the range 10° ≤ 2θ ≤ 80°, sorted by position:
- 23.8 deg, I 1000
- 25.1 deg, I 955
- 26.9 deg, I 838
- 28.7 deg, I 767
- 29.5 deg, I 465
- 30.6 deg, I 433
- 30.8 deg, I 406
- 38.4 deg, I 429

---

Theoretical PXRD pattern
Compound: AcPm4Tm2
Radiation: a wavelength of 1.5418 Å
Structure: a cell relaxed with PBE
No peak broadening, texture or thermal motion is included.

Structure:
a b c (Å): 6.3764 6.5803 6.7676
angles (deg): 116.82 94.87 96.63
Sites, in units of the cell vectors:
Ac  0.0000  0.0000  0.0000
Pm  0.0000  0.0000  0.5000
Pm  0.0000  0.5000  0.5000
Pm  0.4887  0.8105  0.6817
Pm  0.5113  0.1895  0.3183
Tm  0.2687  0.5771  0.0787
Tm  0.7313  0.4229  0.9213

Principal peaks in the range 10° ≤ 2θ ≤ 80°, sorted by position:
- 30.0 deg, I 558
- 31.1 deg, I 1000
- 31.5 deg, I 468
- 31.8 deg, I 610
- 32.1 deg, I 420
- 32.3 deg, I 495
- 33.0 deg, I 359
- 34.4 deg, I 259

---

Theoretical PXRD pattern
Compound: PrNd8Er3
Radiation: a wavelength of 1.5418 Å
Structure: a cell relaxed with PBE
No peak broadening, texture or thermal motion is included.

Structure:
a b c (Å): 6.3481 7.3461 9.0632
angles (deg): 78.24 83.31 89.99
Sites, in units of the cell vectors:
Pr  0.0000  0.0000  0.0000
Nd  0.0019  0.5009  0.9996
Nd  0.1150  0.6681  0.3319
Nd  0.3879  0.0824  0.6651
Nd  0.4982  0.2521  0.9976
Nd  0.6105  0.9169  0.3321
Nd  0.6120  0.4194  0.3313
Nd  0.8892  0.8333  0.6648
Nd  0.8921  0.3348  0.6647
Er  0.1108  0.1683  0.3301
Er  0.3887  0.5843  0.6676
Er  0.4999  0.7494  0.9963

Principal peaks in the range 10° ≤ 2θ ≤ 80°, sorted by position:
- 28.3 deg, I 362
- 30.4 deg, I 499
- 31.2 deg, I 1000
- 32.9 deg, I 865
- 49.7 deg, I 383
- 53.5 deg, I 222
- 56.7 deg, I 181
- 59.4 deg, I 299

---

Question: What is the formula in the third record?
Answer: Tb3Dy7Sc

---

Question: What is the formula in the third record?
Answer: Tb3Dy7Sc